1.
This entry pairs a crystal structure of UCoC2 with its calculated PXRD pattern. Radiation: a wavelength of 1.5418 Å. Structure: a crystal structure in the Materials Project, relaxed with PBE.
No peak broadening, texture or thermal motion is included.

Crystal structure
Lattice parameters (Å, degrees): 3.476 3.476 7.269 90.00 90.00 90.00
Element x y z (fractional)
U (0.250, 0.250, 0.181)
U (0.750, 0.750, 0.819)
Co (0.250, 0.750, 0.500)
Co (0.750, 0.250, 0.500)
C (0.250, 0.250, 0.657)
C (0.250, 0.250, 0.859)
C (0.750, 0.750, 0.141)
C (0.750, 0.750, 0.343)

Main lines, most intense first (5° ≤ 2θ ≤ 70°):
3.136 Å, rel. 100; 2.512 Å, rel. 48; 2.036 Å, rel. 40; 2.329 Å, rel. 32; 2.423 Å, rel. 28; 1.520 Å, rel. 27; 2.458 Å, rel. 26; 1.738 Å, rel. 25; 1.610 Å, rel. 22; 1.412 Å, rel. 21

2.
This entry pairs a crystal structure of YAl3 with its calculated PXRD pattern. Radiation: a wavelength of 1.5418 Å. Structure: a crystal structure in the Materials Project, relaxed with PBE.
No peak broadening, texture or thermal motion is included.

Crystal structure
Lattice parameters (Å, degrees): 4.262 4.262 4.262 90.00 90.00 90.00
Element x y z (fractional)
Y (0.000, 0.000, 0.000)
Al (0.000, 0.500, 0.500)
Al (0.500, 0.000, 0.500)
Al (0.500, 0.500, 0.000)

Main lines, most intense first (5° ≤ 2θ ≤ 70°):
2.461 Å, rel. 100; 2.131 Å, rel. 49; 4.262 Å, rel. 44; 3.014 Å, rel. 36; 1.507 Å, rel. 31; 1.906 Å, rel. 19; 1.740 Å, rel. 14; 1.421 Å, rel. 9; 1.348 Å, rel. 6

3.
This entry pairs a crystal structure of K2B10H13O2 with its calculated PXRD pattern. Radiation: a wavelength of 1.5418 Å. Structure: a crystal structure in the Materials Project, relaxed with PBE.
No peak broadening, texture or thermal motion is included.

Crystal structure
Lattice parameters (Å, degrees): 7.118 7.815 11.106 107.08 92.38 95.76
Element x y z (fractional)
K (0.189, 0.249, 0.432)
K (0.209, 0.557, 0.877)
K (0.791, 0.443, 0.123)
K (0.811, 0.751, 0.568)
B (0.179, 0.592, 0.315)
B (0.181, 0.740, 0.215)
B (0.220, 0.832, 0.385)
B (0.234, 0.523, 0.162)
B (0.384, 0.690, 0.424)
B (0.388, 0.899, 0.283)
B (0.414, 0.537, 0.271)
B (0.417, 0.685, 0.171)
B (0.448, 0.244, 0.678)
B (0.453, 0.913, 0.438)
B (0.547, 0.087, 0.562)
B (0.552, 0.756, 0.322)
B (0.583, 0.315, 0.829)
B (0.586, 0.463, 0.729)
B (0.612, 0.101, 0.717)
B (0.616, 0.310, 0.576)
B (0.766, 0.477, 0.838)
B (0.780, 0.168, 0.615)
B (0.819, 0.260, 0.785)
B (0.821, 0.408, 0.685)
H (0.049, 0.511, 0.349)
H (0.055, 0.789, 0.163)
H (0.095, 0.906, 0.442)
H (0.149, 0.939, 0.808)
H (0.167, 0.397, 0.075)
H (0.260, 0.903, 0.688)
H (0.275, 0.981, 0.079)
H (0.277, 0.238, 0.678)
H (0.381, 0.949, 0.956)
H (0.404, 0.638, 0.515)
H (0.413, 0.034, 0.250)
H (0.493, 0.405, 0.265)
H (0.498, 0.314, 0.921)
H (0.502, 0.686, 0.079)
H (0.507, 0.595, 0.735)
H (0.587, 0.966, 0.750)
H (0.596, 0.362, 0.485)
H (0.619, 0.051, 0.044)
H (0.723, 0.762, 0.322)
H (0.725, 0.019, 0.921)
H (0.740, 0.097, 0.312)
H (0.833, 0.603, 0.925)
H (0.851, 0.061, 0.192)
H (0.905, 0.094, 0.558)
H (0.945, 0.211, 0.837)
H (0.951, 0.489, 0.651)
O (0.157, 0.851, 0.726)
O (0.257, 0.966, 0.988)
O (0.743, 0.034, 0.012)
O (0.843, 0.149, 0.274)

Main lines, most intense first (5° ≤ 2θ ≤ 70°):
3.527 Å, rel. 100; 4.551 Å, rel. 74; 3.882 Å, rel. 71; 4.878 Å, rel. 70; 4.091 Å, rel. 63; 3.637 Å, rel. 58; 7.167 Å, rel. 55; 4.396 Å, rel. 51; 2.424 Å, rel. 45; 2.510 Å, rel. 44

4.
This entry pairs a crystal structure of K2CeBr5 with its calculated PXRD pattern. Radiation: a wavelength of 1.5418 Å. Structure: a crystal structure in the Materials Project, relaxed with PBE.
No peak broadening, texture or thermal motion is included.

Crystal structure
Lattice parameters (Å, degrees): 13.601 9.347 8.593 90.00 90.00 90.00
Element x y z (fractional)
K (0.171, 0.006, 0.050)
K (0.171, 0.494, 0.050)
K (0.329, 0.506, 0.550)
K (0.329, 0.994, 0.550)
K (0.671, 0.006, 0.450)
K (0.671, 0.494, 0.450)
K (0.829, 0.506, 0.950)
K (0.829, 0.994, 0.950)
Ce (0.006, 0.250, 0.577)
Ce (0.494, 0.750, 0.077)
Ce (0.506, 0.250, 0.923)
Ce (0.994, 0.750, 0.423)
Br (0.007, 0.250, 0.926)
Br (0.078, 0.544, 0.665)
Br (0.078, 0.956, 0.665)
Br (0.181, 0.250, 0.373)
Br (0.206, 0.750, 0.335)
Br (0.294, 0.250, 0.835)
Br (0.319, 0.750, 0.873)
Br (0.422, 0.044, 0.165)
Br (0.422, 0.456, 0.165)
Br (0.493, 0.750, 0.426)
Br (0.507, 0.250, 0.574)
Br (0.578, 0.544, 0.835)
Br (0.578, 0.956, 0.835)
Br (0.681, 0.250, 0.127)
Br (0.706, 0.750, 0.165)
Br (0.794, 0.250, 0.665)
Br (0.819, 0.750, 0.627)
Br (0.922, 0.044, 0.335)
Br (0.922, 0.456, 0.335)
Br (0.993, 0.750, 0.074)

Main lines, most intense first (5° ≤ 2θ ≤ 70°):
3.081 Å, rel. 100; 7.265 Å, rel. 92; 3.162 Å, rel. 85; 2.868 Å, rel. 82; 2.750 Å, rel. 66; 2.540 Å, rel. 64; 6.800 Å, rel. 57; 2.337 Å, rel. 57; 3.515 Å, rel. 56; 2.267 Å, rel. 49

5.
This entry pairs a crystal structure of Ca5Ru2N6 with its calculated PXRD pattern. Radiation: a wavelength of 1.5418 Å. Structure: a crystal structure in the Materials Project, relaxed with PBE.
No peak broadening, texture or thermal motion is included.

Crystal structure
Lattice parameters (Å, degrees): 5.993 5.993 12.619 100.66 100.66 65.38
Element x y z (fractional)
Ca (0.126, 0.874, 0.750)
Ca (0.178, 0.697, 0.000)
Ca (0.230, 0.451, 0.281)
Ca (0.303, 0.822, 0.500)
Ca (0.451, 0.230, 0.781)
Ca (0.549, 0.770, 0.219)
Ca (0.697, 0.178, 0.500)
Ca (0.770, 0.549, 0.719)
Ca (0.822, 0.303, 0.000)
Ca (0.874, 0.126, 0.250)
Ru (0.178, 0.362, 0.559)
Ru (0.362, 0.178, 0.059)
Ru (0.638, 0.822, 0.941)
Ru (0.822, 0.638, 0.441)
N (0.108, 0.176, 0.646)
N (0.174, 0.237, 0.413)
N (0.176, 0.108, 0.146)
N (0.237, 0.174, 0.913)
N (0.416, 0.491, 0.626)
N (0.491, 0.416, 0.126)
N (0.509, 0.584, 0.874)
N (0.584, 0.509, 0.374)
N (0.763, 0.826, 0.087)
N (0.824, 0.892, 0.854)
N (0.826, 0.763, 0.587)
N (0.892, 0.824, 0.354)

Main lines, most intense first (5° ≤ 2θ ≤ 70°):
2.542 Å, rel. 100; 2.729 Å, rel. 69; 6.155 Å, rel. 63; 2.640 Å, rel. 63; 5.187 Å, rel. 57; 4.333 Å, rel. 56; 4.920 Å, rel. 49; 2.826 Å, rel. 46; 2.061 Å, rel. 40; 1.940 Å, rel. 39

6.
This entry pairs a crystal structure of Rb3LaN6 with its calculated PXRD pattern. Radiation: a wavelength of 1.5418 Å. Structure: a crystal structure in the Materials Project, relaxed with PBE.
No peak broadening, texture or thermal motion is included.

Crystal structure
Lattice parameters (Å, degrees): 8.343 8.343 8.343 93.09 93.09 93.09
Element x y z (fractional)
Rb (0.100, 0.750, 0.400)
Rb (0.250, 0.600, 0.900)
Rb (0.400, 0.100, 0.750)
Rb (0.600, 0.900, 0.250)
Rb (0.750, 0.400, 0.100)
Rb (0.900, 0.250, 0.600)
La (0.000, 0.000, 0.000)
La (0.500, 0.500, 0.500)
N (0.059, 0.935, 0.724)
N (0.065, 0.276, 0.941)
N (0.224, 0.435, 0.559)
N (0.276, 0.941, 0.065)
N (0.435, 0.559, 0.224)
N (0.441, 0.776, 0.565)
N (0.559, 0.224, 0.435)
N (0.565, 0.441, 0.776)
N (0.724, 0.059, 0.935)
N (0.776, 0.565, 0.441)
N (0.935, 0.724, 0.059)
N (0.941, 0.065, 0.276)

Main lines, most intense first (5° ≤ 2θ ≤ 70°):
3.497 Å, rel. 100; 5.720 Å, rel. 76; 3.638 Å, rel. 69; 2.521 Å, rel. 50; 2.676 Å, rel. 27; 2.130 Å, rel. 26; 2.045 Å, rel. 25; 1.818 Å, rel. 25; 2.019 Å, rel. 22; 2.586 Å, rel. 20

7.
This entry pairs a crystal structure of Mg16Si8HO32 with its calculated PXRD pattern. Radiation: a wavelength of 1.5418 Å. Structure: a crystal structure in the Materials Project, relaxed with PBE.
No peak broadening, texture or thermal motion is included.

Crystal structure
Lattice parameters (Å, degrees): 5.805 8.408 11.605 90.09 90.03 90.16
Element x y z (fractional)
Mg (0.000, 0.000, 0.000)
Mg (0.000, 0.032, 0.751)
Mg (0.250, 0.750, 0.873)
Mg (0.253, 0.245, 0.127)
Mg (0.253, 0.750, 0.630)
Mg (0.258, 0.231, 0.376)
Mg (0.498, 0.498, 0.000)
Mg (0.500, 0.466, 0.751)
Mg (0.504, 0.495, 0.503)
Mg (0.529, 0.538, 0.246)
Mg (0.750, 0.749, 0.873)
Mg (0.751, 0.249, 0.128)
Mg (0.751, 0.748, 0.631)
Mg (0.753, 0.249, 0.374)
Mg (0.997, 0.999, 0.503)
Mg (0.998, 0.970, 0.250)
Si (0.000, 0.383, 0.620)
Si (0.500, 0.114, 0.621)
Si (0.500, 0.115, 0.882)
Si (0.500, 0.881, 0.382)
Si (0.500, 0.884, 0.120)
Si (0.977, 0.628, 0.381)
Si (0.998, 0.618, 0.118)
Si (0.999, 0.383, 0.882)
H (0.189, 0.466, 0.280)
O (0.001, 0.255, 0.510)
O (0.001, 0.255, 0.991)
O (0.001, 0.745, 0.493)
O (0.001, 0.786, 0.751)
O (0.002, 0.285, 0.751)
O (0.002, 0.745, 0.009)
O (0.003, 0.216, 0.252)
O (0.215, 0.504, 0.363)
O (0.234, 0.507, 0.132)
O (0.237, 0.493, 0.880)
O (0.238, 0.492, 0.619)
O (0.259, 0.987, 0.379)
O (0.262, 0.006, 0.623)
O (0.262, 0.993, 0.124)
O (0.263, 0.006, 0.879)
O (0.498, 0.749, 0.489)
O (0.499, 0.291, 0.253)
O (0.499, 0.784, 0.250)
O (0.500, 0.244, 0.991)
O (0.500, 0.711, 0.751)
O (0.500, 0.753, 0.012)
O (0.501, 0.214, 0.751)
O (0.501, 0.242, 0.511)
O (0.737, 0.005, 0.624)
O (0.737, 0.991, 0.379)
O (0.738, 0.007, 0.879)
O (0.738, 0.994, 0.123)
O (0.753, 0.508, 0.379)
O (0.761, 0.491, 0.878)
O (0.763, 0.491, 0.624)
O (0.764, 0.506, 0.120)
O (0.987, 0.719, 0.249)

Main lines, most intense first (5° ≤ 2θ ≤ 70°):
2.480 Å, rel. 100; 2.052 Å, rel. 84; 1.451 Å, rel. 62; 2.670 Å, rel. 62; 1.469 Å, rel. 56; 2.724 Å, rel. 52; 3.267 Å, rel. 45; 2.102 Å, rel. 36; 2.238 Å, rel. 35; 2.524 Å, rel. 34